Computed powder X-ray diffraction pattern of VAgO3 for CuKα, from a PBE+U-relaxed structure.
Intensities are scaled so that the largest is 100.

Atomic structure:
Cell lengths 9.4635, 9.4635, 8.1473 Å; angles 104.88, 104.88, 22.05 degrees
Atoms (fractional coordinates):
V 0.0000 0.0000 0.0000
V 0.3544 0.3544 0.1265
V 0.5474 0.5474 0.3319
V 0.8028 0.8028 0.7950
Ag 0.1258 0.1258 0.6969
Ag 0.2262 0.2262 0.4283
Ag 0.4260 0.4260 0.6051
Ag 0.6774 0.6774 0.0672
O 0.0259 0.0259 0.2692
O 0.0862 0.0862 0.9666
O 0.2687 0.2687 0.1634
O 0.3261 0.3261 0.8535
O 0.4163 0.4163 0.3215
O 0.4888 0.4888 0.0625
O 0.5552 0.5552 0.5471
O 0.6398 0.6398 0.3261
O 0.7108 0.7108 0.8028
O 0.7962 0.7962 0.5806
O 0.8635 0.8635 0.0577
O 0.9396 0.9396 0.7990

Main lines, sorted by position (2θ from 10° to 90°):
- 2θ 28.12, I 57.2
- 2θ 29.06, I 92.7
- 2θ 32.48, I 100.0
- 2θ 33.00, I 57.3
- 2θ 34.04, I 31.3
- 2θ 34.35, I 49.8
- 2θ 50.42, I 31.6
- 2θ 54.52, I 37.0